Computed XRD peak list of TbTm6Al6 for a wavelength of 1.5418 Å, from a DFT-relaxed cell (GGA-PBE, Alexandria).
Kinematic intensities with the Lorentz-polarization factor, no thermal factor.

Largest 12 diffraction maxima, sorted by position, 2θ = 10–90°:
index, d (Å), I_rel
0 0 2, 5.186, 27
1 0 2, 3.628, 22
1 1 0, 2.931, 100
1 0 3, 2.858, 38
1 1 2, 2.552, 58
2 0 2, 2.280, 20
1 1 3, 2.236, 19
1 1 4, 1.942, 18
3 0 0, 1.692, 20
1 1 6, 1.489, 32
2 2 0, 1.466, 18
3 0 6, 1.209, 16

Unit cell a=5.8628 b=5.8628 c=10.3725 alpha=90.00 beta=90.00 gamma=120.00
Sites, in units of the cell vectors:
Tb 0.0000 0.0000 0.0000
Tm 0.0000 0.0000 0.3355
Tm 0.0000 0.0000 0.6645
Tm 0.3333 0.6667 0.0000
Tm 0.3333 0.6667 0.5000
Tm 0.6667 0.3333 0.0000
Tm 0.6667 0.3333 0.5000
Al 0.0000 0.5000 0.2455
Al 0.0000 0.5000 0.7545
Al 0.5000 0.0000 0.2455
Al 0.5000 0.0000 0.7545
Al 0.5000 0.5000 0.2455
Al 0.5000 0.5000 0.7545